The following is a calculated X-ray diffraction stick pattern of Sr3Ga2Pt2. It was derived from a DFT-relaxed cell (PBE, Alexandria), using Cu Kα X-rays.

Structural model:
Cell: 6.126 8.254 14.268 Å, 90.00 90.00 90.00°
Space group Pbcm (No. 57)
Symmetry-distinct sites (fractional):
Sr 0.136 0.238 0.250
Sr 0.357 0.607 0.598
Ga 0.111 0.250 0.000
Ga 0.339 0.588 0.250
Pt 0.133 0.529 0.093

Most intense lines, 5 to 70 degrees two-theta, low angle first:
(1 0 0), 14.46°, intensity 36; (1 1 1), 19.09°, intensity 39; (0 2 0), 21.53°, intensity 22; (2 1 1), 31.79°, intensity 23; (1 2 3), 32.22°, intensity 21; (0 2 4), 33.20°, intensity 34; (1 3 0), 35.77°, intensity 33; (1 2 4), 36.37°, intensity 39; (2 1 3), 36.55°, intensity 100; (0 0 6), 37.83°, intensity 25